Entry 1:
For Ca2AsP, DFT lattice parameters and positions (GGA-PBE) gives the simulated X-ray diffraction stick pattern in this record (Cu Kα X-rays).
Intensities are scaled so that the largest is 100.

Peak list (6 most intense, 2θ = 10–80°, by angle)
23.85 deg, rel. 32, (1 0 1)
27.56 deg, rel. 77, (1 0 2)
32.89 deg, rel. 71, (1 0 3)
39.26 deg, rel. 38, (1 0 4)
39.49 deg, rel. 100, (1 1 0)
46.36 deg, rel. 50, (1 0 5)

Structure:
```
data_Ca2AsP
_chemical_formula_sum 'Ca4 As2 P2'
_cell_length_a 4.5643
_cell_length_b 4.5643
_cell_length_c 11.2741
_cell_angle_alpha 90.00
_cell_angle_beta 90.00
_cell_angle_gamma 120.00
_space_group_name_H-M_alt 'P -6 m 2'
_space_group_IT_number 187
_space_group_name_Hall 'P -6 2'
loop_
_atom_site_label
_atom_site_type_symbol
_atom_site_fract_x
_atom_site_fract_y
_atom_site_fract_z
_atom_site_occupancy
Ca1 Ca 0.0000 0.0000 0.0000 1
Ca2 Ca 0.3333 0.6667 0.2565 1
Ca3 Ca 0.6667 0.3333 0.5000 1
As1 As 0.6667 0.3333 0.1160 1
P1 P 0.0000 0.0000 0.3962 1
```


Entry 2:
For Np4Co3Ge16, DFT lattice parameters and positions (GGA-PBE) gives the simulated X-ray diffraction stick pattern in this record (Cu Kα X-rays).
Intensities are scaled so that the largest is 100.

Peak list (6 most intense, 2θ = 10–80°, by angle)
20.80 deg, rel. 35, (1 1 0)
31.96 deg, rel. 37, (1 1 3)
33.77 deg, rel. 59, (2 0 2)
38.44 deg, rel. 100, (2 0 3)
42.32 deg, rel. 67, (2 2 0)
60.04 deg, rel. 33, (2 2 5)

Structure:
```
data_Np4Co3Ge16
_chemical_formula_sum 'Np4 Co3 Ge16'
_cell_length_a 6.040
_cell_length_b 6.040
_cell_length_c 11.128
_cell_angle_alpha 90.00
_cell_angle_beta 90.00
_cell_angle_gamma 90.00
_space_group_name_H-M_alt 'P 4/m m m'
_space_group_IT_number 123
_space_group_name_Hall '-P 4 2'
loop_
_atom_site_label
_atom_site_type_symbol
_atom_site_fract_x
_atom_site_fract_y
_atom_site_fract_z
_atom_site_occupancy
Np1 Np 0.000 0.500 0.192 1
Co1 Co 0.000 0.000 0.000 1
Co2 Co 0.000 0.500 0.500 1
Ge1 Ge 0.000 0.000 0.220 1
Ge2 Ge 0.252 0.252 0.382 1
Ge3 Ge 0.277 0.277 0.000 1
Ge4 Ge 0.500 0.500 0.204 1
```


Entry 3:
For Ga4Ag2Pb, DFT lattice parameters and positions (GGA-PBE) gives the simulated X-ray diffraction stick pattern in this record (Cu Kα X-rays).
Intensities are scaled so that the largest is 100.

Peak list (6 most intense, 2θ = 10–80°, by angle)
30.65 deg, rel. 95, (1 1 -1)
31.04 deg, rel. 99, (1 1 2)
31.99 deg, rel. 100, (0 0 2)
35.05 deg, rel. 100, (2 1 0)
40.46 deg, rel. 94, (1 -1 1)
40.86 deg, rel. 94, (-1 1 2)

Structure:
```
data_Ga4Ag2Pb
_chemical_formula_sum 'Ga4 Ag2 Pb1'
_cell_length_a 5.259
_cell_length_b 5.490
_cell_length_c 6.192
_cell_angle_alpha 64.62
_cell_angle_beta 78.25
_cell_angle_gamma 61.84
_space_group_name_H-M_alt 'P -1'
_space_group_IT_number 2
_space_group_name_Hall '-P 1'
loop_
_atom_site_label
_atom_site_type_symbol
_atom_site_fract_x
_atom_site_fract_y
_atom_site_fract_z
_atom_site_occupancy
Ga1 Ga 0.002 0.213 0.083 1
Ga2 Ga 0.333 0.866 0.504 1
Ag1 Ag 0.495 0.700 0.105 1
Pb1 Pb 0.000 0.500 0.500 1
```


Entry 4:
For CsDyP2S8, DFT lattice parameters and positions (GGA-PBE) gives the simulated X-ray diffraction stick pattern in this record (Cu Kα X-rays).
Intensities are scaled so that the largest is 100.

Peak list (6 most intense, 2θ = 10–80°, by angle)
16.41 deg, rel. 50, (1 0 0)
24.40 deg, rel. 100, (1 0 2)
28.62 deg, rel. 36, (1 1 0)
33.99 deg, rel. 53, (2 -1 2)
46.89 deg, rel. 26, (1 1 4)
48.22 deg, rel. 30, (2 1 2)

Structure:
```
data_CsDyP2S8
_chemical_formula_sum 'Cs1 Dy1 P2 S8'
_cell_length_a 6.2370
_cell_length_b 6.2370
_cell_length_c 9.8908
_cell_angle_alpha 90.00
_cell_angle_beta 90.00
_cell_angle_gamma 120.00
_space_group_name_H-M_alt 'P -3'
_space_group_IT_number 147
_space_group_name_Hall '-P 3'
loop_
_atom_site_label
_atom_site_type_symbol
_atom_site_fract_x
_atom_site_fract_y
_atom_site_fract_z
_atom_site_occupancy
Cs1 Cs 0.0000 0.0000 0.0000 1
Dy1 Dy 0.0000 0.0000 0.5000 1
P1 P 0.3333 0.6667 0.7182 1
S1 S 0.0030 0.3670 0.6600 1
S2 S 0.3333 0.6667 0.9231 1
```


Entry 5:
For CdB4Ir5, DFT lattice parameters and positions (GGA-PBE) gives the simulated X-ray diffraction stick pattern in this record (Cu Kα X-rays).
Intensities are scaled so that the largest is 100.

Peak list (6 most intense, 2θ = 10–80°, by angle)
21.46 deg, rel. 33, (0 0 2)
33.13 deg, rel. 52, (2 0 0)
38.01 deg, rel. 100, (0 2 2)
43.31 deg, rel. 29, (2 0 2)
46.00 deg, rel. 37, (2 2 0)
48.28 deg, rel. 37, (2 2 -2)

Structure:
```
data_CdB4Ir5
_chemical_formula_sum 'Cd2 B8 Ir10'
_cell_length_a 5.507
_cell_length_b 5.771
_cell_length_c 8.433
_cell_angle_alpha 90.00
_cell_angle_beta 100.89
_cell_angle_gamma 90.00
_space_group_name_H-M_alt 'P 1 21/m 1'
_space_group_IT_number 11
_space_group_name_Hall '-P 2yb'
loop_
_atom_site_label
_atom_site_type_symbol
_atom_site_fract_x
_atom_site_fract_y
_atom_site_fract_z
_atom_site_occupancy
Cd1 Cd 0.073 0.250 0.262 1
B1 B 0.014 0.750 0.416 1
B2 B 0.022 0.750 0.094 1
B3 B 0.429 0.008 0.803 1
Ir1 Ir 0.253 0.003 0.003 1
Ir2 Ir 0.259 0.001 0.562 1
Ir3 Ir 0.326 0.750 0.290 1
```


Entry 6:
For Pr2Ga2S7, DFT lattice parameters and positions (GGA-PBE) gives the simulated X-ray diffraction stick pattern in this record (Cu Kα X-rays).
Intensities are scaled so that the largest is 100.

Peak list (6 most intense, 2θ = 10–80°, by angle)
20.65 deg, rel. 100, (0 2 1)
22.17 deg, rel. 44, (2 0 -1)
23.04 deg, rel. 44, (1 1 1)
24.90 deg, rel. 44, (1 3 0)
27.54 deg, rel. 36, (2 2 0)
29.62 deg, rel. 35, (2 0 -2)

Structure:
```
data_Pr2Ga2S7
_chemical_formula_sum 'Pr4 Ga4 S14'
_cell_length_a 8.295
_cell_length_b 12.130
_cell_length_c 6.608
_cell_angle_alpha 90.00
_cell_angle_beta 112.57
_cell_angle_gamma 90.00
_space_group_name_H-M_alt 'C 1 2/m 1'
_space_group_IT_number 12
_space_group_name_Hall '-C 2y'
loop_
_atom_site_label
_atom_site_type_symbol
_atom_site_fract_x
_atom_site_fract_y
_atom_site_fract_z
_atom_site_occupancy
Pr1 Pr 0.000 0.190 0.000 1
Ga1 Ga 0.233 0.500 0.362 1
S1 S 0.000 0.500 0.500 1
S2 S 0.185 0.000 0.264 1
S3 S 0.230 0.161 0.776 1
```


Entry 7:
For Ce2Np3TiP6, DFT lattice parameters and positions (GGA-PBE) gives the simulated X-ray diffraction stick pattern in this record (Cu Kα X-rays).
Intensities are scaled so that the largest is 100.

Peak list (6 most intense, 2θ = 10–80°, by angle)
13.84 deg, rel. 21, (0 0 1)
27.74 deg, rel. 71, (2 0 0)
27.89 deg, rel. 23, (0 0 2)
32.18 deg, rel. 100, (2 0 -2)
46.06 deg, rel. 36, (3 3 -1)
46.25 deg, rel. 36, (2 0 2)

Structure:
```
data_Ce2Np3TiP6
_chemical_formula_sum 'Ce4 Np6 Ti2 P12'
_cell_length_a 6.828
_cell_length_b 11.820
_cell_length_c 6.797
_cell_angle_alpha 90.00
_cell_angle_beta 109.72
_cell_angle_gamma 90.00
_space_group_name_H-M_alt 'C 1 2/m 1'
_space_group_IT_number 12
_space_group_name_Hall '-C 2y'
loop_
_atom_site_label
_atom_site_type_symbol
_atom_site_fract_x
_atom_site_fract_y
_atom_site_fract_z
_atom_site_occupancy
Ce1 Ce 0.000 0.165 0.000 1
Np1 Np 0.000 0.000 0.500 1
Np2 Np 0.000 0.327 0.500 1
Ti1 Ti 0.000 0.500 0.000 1
P1 P 0.228 0.500 0.746 1
P2 P 0.237 0.343 0.244 1
```


Entry 8:
For Tb3SmC8, DFT lattice parameters and positions (GGA-PBE) gives the simulated X-ray diffraction stick pattern in this record (Cu Kα X-rays).
Intensities are scaled so that the largest is 100.

Peak list (6 most intense, 2θ = 10–80°, by angle)
25.99 deg, rel. 53, (2 2 0)
28.91 deg, rel. 100, (2 0 2)
37.00 deg, rel. 16, (0 4 0)
47.64 deg, rel. 28, (2 4 2)
47.75 deg, rel. 28, (4 2 2)
52.94 deg, rel. 20, (2 2 4)

Structure:
```
data_Tb3SmC8
_chemical_formula_sum 'Tb12 Sm4 C32'
_cell_length_a 9.673
_cell_length_b 9.720
_cell_length_c 8.013
_cell_angle_alpha 90.00
_cell_angle_beta 90.00
_cell_angle_gamma 90.00
_space_group_name_H-M_alt 'F m m 2'
_space_group_IT_number 42
_space_group_name_Hall 'F 2 -2'
loop_
_atom_site_label
_atom_site_type_symbol
_atom_site_fract_x
_atom_site_fract_y
_atom_site_fract_z
_atom_site_occupancy
Tb1 Tb 0.000 0.000 0.000 1
Tb2 Tb 0.250 0.250 0.247 1
Sm1 Sm 0.000 0.000 0.500 1
C1 C 0.000 0.166 0.247 1
C2 C 0.000 0.244 0.866 1
C3 C 0.166 0.000 0.754 1
C4 C 0.243 0.000 0.135 1
```


Entry 9:
For ErH4Pd6, DFT lattice parameters and positions (GGA-PBE) gives the simulated X-ray diffraction stick pattern in this record (Cu Kα X-rays).
Intensities are scaled so that the largest is 100.

Peak list (6 most intense, 2θ = 10–80°, by angle)
18.93 deg, rel. 25, (1 1 -1)
37.98 deg, rel. 98, (2 2 0)
38.40 deg, rel. 100, (2 2 -2)
42.63 deg, rel. 37, (0 0 2)
44.12 deg, rel. 32, (4 0 -2)
46.36 deg, rel. 27, (0 4 0)

Structure:
```
data_ErH4Pd6
_chemical_formula_sum 'Er2 H8 Pd12'
_cell_length_a 8.212
_cell_length_b 7.835
_cell_length_c 5.854
_cell_angle_alpha 90.00
_cell_angle_beta 133.57
_cell_angle_gamma 90.00
_space_group_name_H-M_alt 'C 1 m 1'
_space_group_IT_number 8
_space_group_name_Hall 'C -2y'
loop_
_atom_site_label
_atom_site_type_symbol
_atom_site_fract_x
_atom_site_fract_y
_atom_site_fract_z
_atom_site_occupancy
Er1 Er 0.000 0.000 0.000 1
H1 H 0.287 0.500 0.441 1
H2 H 0.292 0.000 0.574 1
H3 H 0.472 0.150 0.236 1
Pd1 Pd 0.039 0.000 0.533 1
Pd2 Pd 0.232 0.271 0.990 1
Pd3 Pd 0.251 0.262 0.499 1
Pd4 Pd 0.479 0.000 0.486 1
```


Entry 10:
For Cd3P2, DFT lattice parameters and positions (GGA-PBE) gives the simulated X-ray diffraction stick pattern in this record (Cu Kα X-rays).
Intensities are scaled so that the largest is 100.

Peak list (6 most intense, 2θ = 10–80°, by angle)
26.67 deg, rel. 36, (2 1 2)
28.47 deg, rel. 79, (2 2 0)
28.74 deg, rel. 33, (0 0 4)
29.51 deg, rel. 52, (2 0 3)
40.70 deg, rel. 57, (4 0 0)
40.90 deg, rel. 100, (2 2 4)

Structure:
```
data_Cd3P2
_chemical_formula_sum 'Cd24 P16'
_cell_length_a 8.868
_cell_length_b 8.868
_cell_length_c 12.424
_cell_angle_alpha 90.00
_cell_angle_beta 90.00
_cell_angle_gamma 90.00
_space_group_name_H-M_alt 'P 42/n m c'
_space_group_IT_number 137
loop_
_space_group_symop_operation_xyz
'x,y,z'
'-x,-y,-z'
'-y+1/2,x,z+1/2'
'y+1/2,-x,-z+1/2'
'-x+1/2,-y+1/2,z'
'x+1/2,y+1/2,-z'
'y,-x+1/2,z+1/2'
'-y,x+1/2,-z+1/2'
'x+1/2,-y,-z'
'-x+1/2,y,z'
'-y,-x,-z+1/2'
'y,x,z+1/2'
'-x,y+1/2,-z'
'x,-y+1/2,z'
'y+1/2,x+1/2,-z+1/2'
'-y+1/2,-x+1/2,z+1/2'
loop_
_atom_site_label
_atom_site_type_symbol
_atom_site_fract_x
_atom_site_fract_y
_atom_site_fract_z
_atom_site_occupancy
Cd1 Cd 0.007 0.750 0.100 1
Cd2 Cd 0.035 0.750 0.649 1
Cd3 Cd 0.039 0.250 0.633 1
P1 P 0.008 0.508 0.250 1
P2 P 0.250 0.250 0.491 1
P3 P 0.250 0.750 0.508 1
```


Entry 11:
For K2AcMgPb2, DFT lattice parameters and positions (GGA-PBE) gives the simulated X-ray diffraction stick pattern in this record (Cu Kα X-rays).
Intensities are scaled so that the largest is 100.

Peak list (6 most intense, 2θ = 10–80°, by angle)
20.46 deg, rel. 26, (0 2 1)
21.79 deg, rel. 48, (1 1 1)
28.53 deg, rel. 100, (1 1 2)
31.51 deg, rel. 32, (1 3 0)
32.47 deg, rel. 37, (1 2 2)
34.16 deg, rel. 29, (2 0 0)

Structure:
```
data_K2AcMgPb2
_chemical_formula_sum 'K4 Ac2 Mg2 Pb4'
_cell_length_a 5.249
_cell_length_b 10.128
_cell_length_c 8.432
_cell_angle_alpha 90.00
_cell_angle_beta 90.00
_cell_angle_gamma 90.00
_space_group_name_H-M_alt 'P m c 21'
_space_group_IT_number 26
_space_group_name_Hall 'P 2c -2'
loop_
_atom_site_label
_atom_site_type_symbol
_atom_site_fract_x
_atom_site_fract_y
_atom_site_fract_z
_atom_site_occupancy
K1 K 0.000 0.085 0.000 1
K2 K 0.500 0.151 0.318 1
Ac1 Ac 0.500 0.466 0.989 1
Mg1 Mg 0.000 0.319 0.640 1
Pb1 Pb 0.000 0.393 0.270 1
Pb2 Pb 0.500 0.200 0.729 1
```